# K2Sm2IrO7
Computed powder diffraction line list, CuKα. Input: a PBE-relaxed structure.
Peak positions follow from Bragg's law for the DFT cell and can differ from measured ones.

Most intense lines, 2θ = 5–70°, in order of rising 2θ:
hkl 0 0 6, 2θ = 14.0°, intensity 79; hkl 1 0 4, 2θ = 20.2°, intensity 33; hkl 1 0 10, 2θ = 29.6°, intensity 81; hkl 1 1 0, 2θ = 31.2°, intensity 100; hkl 1 1 6, 2θ = 34.3°, intensity 33; hkl 1 0 16, 2θ = 42.2°, intensity 24; hkl 0 2 10, 2θ = 43.6°, intensity 38; hkl 0 2 16, 2θ = 53.4°, intensity 16; hkl 2 1 10, 2θ = 54.5°, intensity 31; hkl 3 0 0, 2θ = 55.5°, intensity 25

Atomic structure:
```
data_K2Sm2IrO7
_chemical_formula_sum 'K12 Sm12 Ir6 O42'
_symmetry_space_group_name_H-M 'R -3 c'
_symmetry_Int_Tables_number 167
_symmetry_space_group_name_Hall '-R 3 2"c'
_cell_length_a 5.7356
_cell_length_b 5.7356
_cell_length_c 37.9428
_cell_angle_alpha 90.00
_cell_angle_beta 90.00
_cell_angle_gamma 120.00
loop_
_atom_site_label
_atom_site_type_symbol
_atom_site_fract_x
_atom_site_fract_y
_atom_site_fract_z
K1 K 0.0000 0.0000 0.0870
Sm1 Sm 0.0000 0.0000 0.1908
Ir1 Ir 0.0000 0.0000 0.0000
O1 O 0.0000 0.0000 0.2500
O2 O 0.0141 0.4163 0.1939
```